# 1
# KH6S2N2
Calculated powder X-ray diffraction pattern, a wavelength of 1.5418 Å. Input: the GGA-PBE geometry in Alexandria.
Neutral-atom scattering factors, no anomalous dispersion.

```
data_KH6S2N2
_symmetry_space_group_name_H-M 'P 1'
_symmetry_Int_Tables_number 1
_symmetry_space_group_name_Hall 'P 1'
_cell_length_a 5.741
_cell_length_b 5.741
_cell_length_c 4.971
_cell_angle_alpha 90.10
_cell_angle_beta 90.10
_cell_angle_gamma 59.98
loop_
_atom_site_label
_atom_site_type_symbol
_atom_site_fract_x
_atom_site_fract_y
_atom_site_fract_z
K1 K 0.000 0.000 0.000
H1 H 0.131 0.435 0.263
H2 H 0.435 0.131 0.263
H3 H 0.435 0.435 0.263
H4 H 0.565 0.565 0.737
H5 H 0.565 0.869 0.737
H6 H 0.869 0.565 0.737
S1 S 0.333 0.333 0.774
S2 S 0.667 0.667 0.226
N1 N 0.334 0.334 0.212
N2 N 0.666 0.666 0.788
```

Peak list (8 most intense, 10 to 80 degrees two-theta, by angle)
17.8 deg, d = 4.971 Å, intensity 29
25.3 deg, d = 3.515 Å, intensity 35
31.2 deg, d = 2.870 Å, intensity 100
36.1 deg, d = 2.486 Å, intensity 26
40.6 deg, d = 2.223 Å, intensity 47
52.0 deg, d = 1.758 Å, intensity 22
55.5 deg, d = 1.657 Å, intensity 14
58.7 deg, d = 1.572 Å, intensity 12

***

# 2
# K4H2Se2N
Calculated powder X-ray diffraction pattern, a wavelength of 1.5418 Å. Input: the GGA-PBE geometry in Alexandria.
Neutral-atom scattering factors, no anomalous dispersion.

```
data_K4H2Se2N
_symmetry_space_group_name_H-M 'P 1'
_symmetry_Int_Tables_number 1
_symmetry_space_group_name_Hall 'P 1'
_cell_length_a 6.885
_cell_length_b 6.885
_cell_length_c 5.699
_cell_angle_alpha 94.51
_cell_angle_beta 94.51
_cell_angle_gamma 72.36
loop_
_atom_site_label
_atom_site_type_symbol
_atom_site_fract_x
_atom_site_fract_y
_atom_site_fract_z
K1 K 0.109 0.644 0.771
K2 K 0.356 0.891 0.229
K3 K 0.644 0.109 0.771
K4 K 0.891 0.356 0.229
H1 H 0.435 0.435 0.108
H2 H 0.565 0.565 0.892
Se1 Se 0.133 0.133 0.706
Se2 Se 0.867 0.867 0.294
N1 N 0.500 0.500 0.000
```

Peak list (8 most intense, 10 to 80 degrees two-theta, by angle)
13.5 deg, d = 6.551 Å, intensity 53
20.1 deg, d = 4.416 Å, intensity 45
26.5 deg, d = 3.358 Å, intensity 26
30.7 deg, d = 2.910 Å, intensity 63
31.5 deg, d = 2.836 Å, intensity 27
32.4 deg, d = 2.767 Å, intensity 100
35.2 deg, d = 2.550 Å, intensity 17
55.7 deg, d = 1.651 Å, intensity 20

***

# 3
# KH6Se2N2
Calculated powder X-ray diffraction pattern, a wavelength of 1.5418 Å. Input: the GGA-PBE geometry in Alexandria.
Neutral-atom scattering factors, no anomalous dispersion.

```
data_KH6Se2N2
_symmetry_space_group_name_H-M 'P 1'
_symmetry_Int_Tables_number 1
_symmetry_space_group_name_Hall 'P 1'
_cell_length_a 5.993
_cell_length_b 5.993
_cell_length_c 5.185
_cell_angle_alpha 90.11
_cell_angle_beta 90.11
_cell_angle_gamma 59.97
loop_
_atom_site_label
_atom_site_type_symbol
_atom_site_fract_x
_atom_site_fract_y
_atom_site_fract_z
K1 K 0.000 0.000 0.000
H1 H 0.140 0.430 0.266
H2 H 0.430 0.140 0.266
H3 H 0.430 0.430 0.266
H4 H 0.570 0.570 0.734
H5 H 0.570 0.860 0.734
H6 H 0.860 0.570 0.734
Se1 Se 0.333 0.333 0.772
Se2 Se 0.667 0.667 0.228
N1 N 0.334 0.334 0.218
N2 N 0.666 0.666 0.782
```

Peak list (8 most intense, 10 to 80 degrees two-theta, by angle)
17.1 deg, d = 5.188 Å, intensity 37
24.3 deg, d = 3.668 Å, intensity 76
29.8 deg, d = 2.996 Å, intensity 100
34.6 deg, d = 2.593 Å, intensity 24
38.8 deg, d = 2.320 Å, intensity 57
46.3 deg, d = 1.961 Å, intensity 24
49.7 deg, d = 1.835 Å, intensity 34
52.9 deg, d = 1.730 Å, intensity 17

***

# 4
# KTeH6N2
Calculated powder X-ray diffraction pattern, a wavelength of 1.5418 Å. Input: the GGA-PBE geometry in Alexandria.
Neutral-atom scattering factors, no anomalous dispersion.

```
data_KTeH6N2
_symmetry_space_group_name_H-M 'P 1'
_symmetry_Int_Tables_number 1
_symmetry_space_group_name_Hall 'P 1'
_cell_length_a 8.299
_cell_length_b 8.299
_cell_length_c 6.066
_cell_angle_alpha 104.77
_cell_angle_beta 104.77
_cell_angle_gamma 121.34
loop_
_atom_site_label
_atom_site_type_symbol
_atom_site_fract_x
_atom_site_fract_y
_atom_site_fract_z
K1 K 0.203 0.797 0.750
K2 K 0.797 0.203 0.250
Te1 Te 0.037 0.963 0.250
Te2 Te 0.963 0.037 0.750
H1 H 0.227 0.468 0.247
H2 H 0.264 0.414 0.481
H3 H 0.341 0.569 0.968
H4 H 0.414 0.264 0.981
H5 H 0.431 0.659 0.532
H6 H 0.468 0.227 0.747
H7 H 0.532 0.773 0.253
H8 H 0.569 0.341 0.468
H9 H 0.586 0.736 0.019
H10 H 0.659 0.431 0.032
H11 H 0.736 0.586 0.519
H12 H 0.773 0.532 0.753
N1 N 0.271 0.530 0.441
N2 N 0.470 0.729 0.059
N3 N 0.530 0.271 0.941
N4 N 0.729 0.470 0.559
```

Peak list (8 most intense, 10 to 80 degrees two-theta, by angle)
12.2 deg, d = 7.235 Å, intensity 34
14.1 deg, d = 6.260 Å, intensity 100
22.4 deg, d = 3.961 Å, intensity 21
23.9 deg, d = 3.725 Å, intensity 25
25.7 deg, d = 3.471 Å, intensity 32
30.1 deg, d = 2.966 Å, intensity 26
30.5 deg, d = 2.929 Å, intensity 45
34.6 deg, d = 2.593 Å, intensity 22

***

# 5
# K4Na2H
Calculated powder X-ray diffraction pattern, a wavelength of 1.5418 Å. Input: the GGA-PBE geometry in Alexandria.
Neutral-atom scattering factors, no anomalous dispersion.

```
data_K4Na2H
_symmetry_space_group_name_H-M 'P 1'
_symmetry_Int_Tables_number 1
_symmetry_space_group_name_Hall 'P 1'
_cell_length_a 11.072
_cell_length_b 11.072
_cell_length_c 11.072
_cell_angle_alpha 150.24
_cell_angle_beta 150.24
_cell_angle_gamma 42.59
loop_
_atom_site_label
_atom_site_type_symbol
_atom_site_fract_x
_atom_site_fract_y
_atom_site_fract_z
K1 K 0.000 0.500 0.500
K2 K 0.155 0.155 0.000
K3 K 0.500 0.000 0.500
K4 K 0.845 0.845 0.000
Na1 Na 0.344 0.344 0.000
Na2 Na 0.656 0.656 0.000
H1 H 0.000 0.000 0.000
```

Peak list (8 most intense, 10 to 80 degrees two-theta, by angle)
23.8 deg, d = 3.746 Å, intensity 85
25.9 deg, d = 3.439 Å, intensity 42
28.1 deg, d = 3.171 Å, intensity 100
31.5 deg, d = 2.843 Å, intensity 55
41.2 deg, d = 2.191 Å, intensity 43
49.7 deg, d = 1.836 Å, intensity 24
52.7 deg, d = 1.736 Å, intensity 19
54.0 deg, d = 1.698 Å, intensity 27